(1)
RbCoNiF6: simulated X-ray diffraction stick pattern (λ = 1.5418 Å (Cu Kα)), based on a crystal structure in the Materials Project, relaxed with GGA+U.

Structural model:
a = 7.302 Å, b = 7.376 Å, c = 10.236 Å
α = 90.00°, β = 90.00°, γ = 90.00°
Space group Imma (No. 74)
Symmetry-distinct sites (fractional):
1 Rb 0.000 0.250 0.120 [4 per cell]
2 Co 0.000 0.000 0.500 [4 per cell]
3 Ni 0.250 0.250 0.750 [4 per cell]
4 F 0.000 0.250 0.431 [4 per cell]
5 F 0.000 0.250 0.831 [4 per cell]
6 F 0.191 0.046 0.622 [16 per cell]

Peak list (10 most intense, 2θ from 5° to 70°, low angle first)
two_theta	d_spacing	I/Imax	hkl
14.85	5.965	27	0 1 1
24.42	3.645	39	2 0 0
28.48	3.134	100	1 2 1
28.64	3.117	88	2 1 1
28.86	3.094	89	0 1 3
29.86	2.992	37	0 2 2
30.07	2.972	42	2 0 2
45.49	1.994	36	0 3 3
45.79	1.981	25	3 0 3
50.07	1.822	79	2 2 4



(2)
Sr7W4O19: simulated X-ray diffraction stick pattern (λ = 1.5418 Å (Cu Kα)), based on a crystal structure in the Materials Project, relaxed with GGA+U.

Structural model:
a = 13.939 Å, b = 5.681 Å, c = 10.594 Å
α = 90.00°, β = 98.11°, γ = 90.00°
Space group C2/m (No. 12)
Symmetry-distinct sites (fractional):
1 Sr 0.000 0.000 0.000 [2 per cell]
2 Sr 0.083 0.000 0.661 [4 per cell]
3 Sr 0.141 0.500 0.454 [4 per cell]
4 Sr 0.210 0.500 0.087 [4 per cell]
5 W 0.035 0.500 0.819 [4 per cell]
6 W 0.173 0.000 0.282 [4 per cell]
7 O 0.000 0.500 0.000 [2 per cell]
8 O 0.046 0.500 0.643 [4 per cell]
9 O 0.071 0.259 0.215 [8 per cell]
10 O 0.100 0.000 0.429 [4 per cell]
11 O 0.122 0.253 0.870 [8 per cell]
12 O 0.195 0.000 0.110 [4 per cell]
13 O 0.243 0.257 0.654 [8 per cell]

Peak list (10 most intense, 2θ from 5° to 70°, low angle first)
two_theta	d_spacing	I/Imax	hkl
16.90	5.246	17	0 0 2
19.30	4.599	17	1 1 1
28.35	3.148	43	4 0 1
28.64	3.117	82	3 1 -2
31.49	2.841	100	0 2 0
42.89	2.109	44	4 2 1
43.27	2.091	20	2 0 -5
48.49	1.877	19	7 1 -1
56.08	1.640	19	1 3 3
65.74	1.420	19	0 4 0



(3)
Ba3HoUFeO9: simulated X-ray diffraction stick pattern (λ = 1.5418 Å (Cu Kα)), based on a crystal structure in the Materials Project, relaxed with GGA+U.

Structural model:
a = 5.9937 Å, b = 5.9937 Å, c = 17.3265 Å
α = 90.00°, β = 90.00°, γ = 120.00°
Space group P3m1 (No. 156)
Symmetry-distinct sites (fractional):
1 Ba 0.0000 0.0000 0.0000 [1 per cell]
2 Ba 0.0000 0.0000 0.2373 [1 per cell]
3 Ba 0.0000 0.0000 0.5015 [1 per cell]
4 Ba 0.3333 0.6667 0.1072 [1 per cell]
5 Ba 0.3333 0.6667 0.8707 [1 per cell]
6 Ba 0.6667 0.3333 0.3595 [1 per cell]
7 Ho 0.3333 0.6667 0.6702 [1 per cell]
8 Ho 0.6667 0.3333 0.7134 [1 per cell]
9 U 0.3333 0.6667 0.4177 [1 per cell]
10 U 0.6667 0.3333 0.0542 [1 per cell]
11 Fe 0.0000 0.0000 0.7011 [1 per cell]
12 Fe 0.6667 0.3333 0.5529 [1 per cell]
13 O 0.1715 0.3430 0.7502 [3 per cell]
14 O 0.1718 0.3436 0.3507 [3 per cell]
15 O 0.3364 0.1682 0.1230 [3 per cell]
16 O 0.3584 0.1792 0.6289 [3 per cell]
17 O 0.5015 0.0029 0.9860 [3 per cell]
18 O 0.5054 0.0108 0.4864 [3 per cell]

Peak list (10 most intense, 2θ from 5° to 70°, low angle first)
two_theta	d_spacing	I/Imax	hkl
15.34	5.776	31	0 0 3
23.04	3.861	34	1 0 3
26.81	3.326	63	1 0 4
29.81	2.997	100	1 1 0
33.69	2.660	19	1 1 3
40.52	2.226	34	0 2 4
43.53	2.079	20	1 1 6
51.11	1.787	22	2 1 4
52.92	1.730	20	3 0 0
61.93	1.498	18	2 2 0



(4)
Li3Co2P5O16: simulated X-ray diffraction stick pattern (λ = 1.5418 Å (Cu Kα)), based on a crystal structure in the Materials Project, relaxed with GGA+U.

Structural model:
a = 5.058 Å, b = 6.932 Å, c = 18.202 Å
α = 90.00°, β = 92.37°, γ = 90.00°
Space group P2/c (No. 13)
Symmetry-distinct sites (fractional):
1 Li 0.000 0.021 0.250 [2 per cell]
2 Li 0.240 0.328 0.966 [4 per cell]
3 Co 0.233 0.173 0.411 [4 per cell]
4 P 0.239 0.468 0.124 [4 per cell]
5 P 0.273 0.126 0.586 [4 per cell]
6 P 0.500 0.245 0.250 [2 per cell]
7 O 0.056 0.447 0.392 [4 per cell]
8 O 0.117 0.204 0.518 [4 per cell]
9 O 0.121 0.023 0.130 [4 per cell]
10 O 0.301 0.312 0.643 [4 per cell]
11 O 0.307 0.387 0.205 [4 per cell]
12 O 0.323 0.134 0.299 [4 per cell]
13 O 0.419 0.383 0.068 [4 per cell]
14 O 0.438 0.081 0.929 [4 per cell]

Peak list (10 most intense, 2θ from 5° to 70°, low angle first)
two_theta	d_spacing	I/Imax	hkl
9.73	9.093	53	0 0 2
13.67	6.477	100	0 1 1
19.52	4.547	68	0 0 4
22.15	4.013	36	1 1 -1
22.47	3.956	76	1 1 1
29.47	3.031	36	0 0 6
31.57	2.834	40	1 2 -1
31.81	2.814	28	1 2 1
32.43	2.761	43	1 1 -5
33.07	2.709	31	1 2 2



(5)
K2Mn3H6S3O16: simulated X-ray diffraction stick pattern (λ = 1.5418 Å (Cu Kα)), based on a crystal structure in the Materials Project, relaxed with GGA+U.

Structural model:
a = 18.331 Å, b = 7.899 Å, c = 10.133 Å
α = 90.00°, β = 90.00°, γ = 90.00°
Space group Cmc2_1 (No. 36)
Symmetry-distinct sites (fractional):
1 K 0.193 0.045 0.000 [8 per cell]
2 Mn 0.000 0.192 0.735 [4 per cell]
3 Mn 0.088 0.470 0.454 [8 per cell]
4 H 0.000 0.200 0.487 [4 per cell]
5 H 0.000 0.482 0.240 [4 per cell]
6 H 0.095 0.179 0.298 [8 per cell]
7 H 0.174 0.255 0.294 [8 per cell]
8 S 0.000 0.183 0.063 [4 per cell]
9 S 0.177 0.301 0.724 [8 per cell]
10 O 0.000 0.069 0.945 [4 per cell]
11 O 0.000 0.081 0.187 [4 per cell]
12 O 0.000 0.307 0.537 [4 per cell]
13 O 0.000 0.448 0.819 [4 per cell]
14 O 0.067 0.291 0.063 [8 per cell]
15 O 0.121 0.163 0.727 [8 per cell]
16 O 0.132 0.232 0.354 [8 per cell]
17 O 0.161 0.423 0.616 [8 per cell]
18 O 0.179 0.389 0.855 [8 per cell]
19 O 0.250 0.224 0.698 [8 per cell]

Peak list (10 most intense, 2θ from 5° to 70°, low angle first)
two_theta	d_spacing	I/Imax	hkl
9.65	9.166	30	2 0 0
12.20	7.255	31	1 1 0
15.02	5.899	63	1 1 1
21.39	4.154	44	1 1 2
26.81	3.326	42	5 1 0
28.24	3.160	46	5 1 1
28.66	3.115	100	0 2 2
29.18	3.061	78	6 0 0
32.20	2.780	80	5 1 2
44.98	2.015	26	5 1 4



(6)
Hf3NiO6F6: simulated X-ray diffraction stick pattern (λ = 1.5418 Å (Cu Kα)), based on a crystal structure in the Materials Project, relaxed with GGA+U.

Structural model:
a = 6.779 Å, b = 7.005 Å, c = 7.128 Å
α = 73.27°, β = 67.35°, γ = 83.45°
Space group P-1 (No. 2)
Symmetry-distinct sites (fractional):
1 Hf 0.000 0.000 0.000 [1 per cell]
2 Hf 0.000 0.000 0.500 [1 per cell]
3 Hf 0.000 0.500 0.000 [1 per cell]
4 Ni 0.500 0.000 0.500 [1 per cell]
5 O 0.092 0.776 0.753 [2 per cell]
6 O 0.254 0.866 0.801 [2 per cell]
7 O 0.272 0.118 0.432 [2 per cell]
8 F 0.141 0.901 0.218 [2 per cell]
9 F 0.156 0.276 0.850 [2 per cell]
10 F 0.219 0.503 0.108 [2 per cell]

Peak list (10 most intense, 2θ from 5° to 70°, low angle first)
two_theta	d_spacing	I/Imax	hkl
13.20	6.709	33	0 1 0
14.16	6.256	100	1 0 0
15.79	5.611	21	1 0 1
16.48	5.378	22	0 1 1
26.57	3.354	26	0 2 0
28.14	3.172	21	0 0 2
28.54	3.128	15	2 0 0
30.22	2.957	21	1 2 0
31.90	2.806	17	2 0 2
33.32	2.689	19	0 2 2



(7)
Li9Mn2Co5O16: simulated X-ray diffraction stick pattern (λ = 1.5418 Å (Cu Kα)), based on a crystal structure in the Materials Project, relaxed with GGA+U.

Structural model:
a = 5.023 Å, b = 5.869 Å, c = 9.770 Å
α = 87.13°, β = 79.19°, γ = 86.97°
Space group P-1 (No. 2)
Symmetry-distinct sites (fractional):
1 Li 0.000 0.000 0.000 [1 per cell]
2 Li 0.243 0.000 0.241 [2 per cell]
3 Li 0.245 0.246 0.754 [2 per cell]
4 Li 0.248 0.752 0.752 [2 per cell]
5 Li 0.254 0.497 0.243 [2 per cell]
6 Mn 0.000 0.250 0.500 [2 per cell]
7 Co 0.000 0.500 0.000 [1 per cell]
8 Co 0.494 0.754 0.002 [2 per cell]
9 Co 0.500 0.000 0.500 [1 per cell]
10 Co 0.500 0.500 0.500 [1 per cell]
11 O 0.142 0.017 0.620 [2 per cell]
12 O 0.142 0.517 0.619 [2 per cell]
13 O 0.143 0.262 0.110 [2 per cell]
14 O 0.154 0.746 0.112 [2 per cell]
15 O 0.365 0.233 0.385 [2 per cell]
16 O 0.367 0.734 0.386 [2 per cell]
17 O 0.388 0.510 0.893 [2 per cell]
18 O 0.400 0.004 0.893 [2 per cell]

Peak list (10 most intense, 2θ from 5° to 70°, low angle first)
two_theta	d_spacing	I/Imax	hkl
18.51	4.794	100	0 0 2
34.96	2.567	18	1 2 1
36.46	2.464	12	2 0 0
37.06	2.426	11	1 -2 1
37.48	2.400	9	0 0 4
42.12	2.145	31	1 2 3
44.34	2.043	26	2 0 -2
45.06	2.012	25	1 -2 3
62.52	1.486	8	3 2 1
63.55	1.464	8	0 4 0